Structure and calculated powder diffraction line list of TbPmMg4 (a DFT-relaxed cell (PBE, Alexandria); Cu Kα).

Structure:
abc: 13.8845 3.4721 6.7976
angles: 90.00 104.12 90.00
Space group C2/m (No. 12)
Unique sites:
Tb: 0.0000 0.0000 0.0000 [2 per cell]
Pm: 0.0000 0.0000 0.5000 [2 per cell]
Mg: 0.1754 0.5000 0.8406 [4 per cell]
Mg: 0.1771 0.5000 0.3357 [4 per cell]

Top 10 peaks for 2θ = 10–90°, in order of rising 2θ:
- d = 6.732 Å, intensity 100.0, (2 0 0)
- d = 3.364 Å, intensity 72.2, (4 0 0)
- d = 3.295 Å, intensity 43.6, (0 0 2)
- d = 2.746 Å, intensity 67.0, (3 1 0)
- d = 2.710 Å, intensity 64.6, (2 0 2)
- d = 2.429 Å, intensity 47.8, (1 1 -2)
- d = 2.285 Å, intensity 28.5, (1 1 2)
- d = 1.970 Å, intensity 23.7, (3 1 2)
- d = 1.648 Å, intensity 33.3, (5 1 2)
- d = 1.462 Å, intensity 19.1, (2 2 2)


Structure and calculated powder diffraction line list of Mg5Cd4Ag (a DFT-relaxed cell (PBE, Alexandria); Cu Kα).

Structure:
abc: 3.4533 3.4533 17.5616
angles: 90.00 90.00 90.00
Space group P4/mmm (No. 123)
Unique sites:
Mg: 0.0000 0.0000 0.0000 [1 per cell]
Mg: 0.0000 0.0000 0.2037 [2 per cell]
Mg: 0.0000 0.0000 0.4104 [2 per cell]
Cd: 0.5000 0.5000 0.1017 [2 per cell]
Cd: 0.5000 0.5000 0.3066 [2 per cell]
Ag: 0.5000 0.5000 0.5000 [1 per cell]

Top 10 peaks for 2θ = 10–90°, in order of rising 2θ:
- d = 3.512 Å, intensity 26.3, (0 0 5)
- d = 3.453 Å, intensity 50.9, (1 0 0)
- d = 2.462 Å, intensity 100.0, (1 0 5)
- d = 2.442 Å, intensity 50.0, (1 1 0)
- d = 2.005 Å, intensity 21.7, (1 1 5)
- d = 1.727 Å, intensity 16.7, (2 0 0)
- d = 1.565 Å, intensity 9.2, (1 0 10)
- d = 1.426 Å, intensity 15.6, (1 1 10)
- d = 1.414 Å, intensity 32.6, (2 1 5)
- d = 1.231 Å, intensity 9.5, (2 0 10)


Structure and calculated powder diffraction line list of BeH4NCl3 (a DFT-relaxed cell (PBE, Alexandria); Cu Kα).

Structure:
abc: 5.4516 5.6288 5.8923
angles: 74.43 74.97 78.08
Space group P1 (No. 1)
Unique sites:
Be: 0.0000 0.0000 0.0000 [1 per cell]
H: 0.2760 0.4087 0.5419 [1 per cell]
H: 0.3925 0.5496 0.2496 [1 per cell]
H: 0.5398 0.5533 0.4664 [1 per cell]
H: 0.5592 0.2821 0.3861 [1 per cell]
N: 0.4419 0.4481 0.4117 [1 per cell]
Cl: 0.3078 0.7813 0.9036 [1 per cell]
Cl: 0.7968 0.9189 0.3243 [1 per cell]
Cl: 0.9067 0.3106 0.7866 [1 per cell]

Top 10 peaks for 2θ = 10–90°, in order of rising 2θ:
- d = 4.286 Å, intensity 17.7, (1 0 1)
- d = 4.046 Å, intensity 22.9, (1 1 0)
- d = 3.972 Å, intensity 100.0, (1 1 1)
- d = 3.484 Å, intensity 30.7, (1 -1 0)
- d = 3.442 Å, intensity 18.0, (1 0 -1)
- d = 2.952 Å, intensity 65.4, (1 -1 1)
- d = 2.840 Å, intensity 25.3, (1 1 -1)
- d = 2.770 Å, intensity 32.5, (0 0 2)
- d = 2.661 Å, intensity 22.6, (0 2 1)
- d = 2.604 Å, intensity 18.7, (2 0 0)


Structure and calculated powder diffraction line list of Be2MoH6 (a DFT-relaxed cell (PBE, Alexandria); Cu Kα).

Structure:
abc: 6.2447 6.2447 6.2447
angles: 90.00 90.00 90.00
Space group Fm-3m (No. 225)
Unique sites:
Be: 0.2500 0.2500 0.2500 [8 per cell]
Mo: 0.0000 0.0000 0.0000 [4 per cell]
H: 0.0000 0.0000 0.2807 [24 per cell]

Top 10 peaks for 2θ = 10–90°, in order of rising 2θ:
- d = 3.605 Å, intensity 100.0, (1 1 1)
- d = 3.122 Å, intensity 43.9, (2 0 0)
- d = 2.208 Å, intensity 48.2, (2 2 0)
- d = 1.883 Å, intensity 48.6, (3 1 1)
- d = 1.803 Å, intensity 9.5, (2 2 2)
- d = 1.561 Å, intensity 8.7, (4 0 0)
- d = 1.433 Å, intensity 19.8, (3 3 1)
- d = 1.396 Å, intensity 14.0, (4 2 0)
- d = 1.275 Å, intensity 16.3, (4 2 2)
- d = 1.202 Å, intensity 14.6, (3 3 3)


Structure and calculated powder diffraction line list of Sc4ZnCu2Os (a DFT-relaxed cell (PBE, Alexandria); Cu Kα).

Structure:
abc: 4.6238 4.6238 22.7486
angles: 90.00 90.00 120.00
Space group R-3m (No. 166, hexagonal axes)
Unique sites:
Sc: 0.0000 0.0000 0.1204 [6 per cell]
Sc: 0.0000 0.0000 0.3710 [6 per cell]
Zn: 0.0000 0.0000 0.5000 [3 per cell]
Cu: 0.0000 0.0000 0.2485 [6 per cell]
Os: 0.0000 0.0000 0.0000 [3 per cell]

Top 10 peaks for 2θ = 10–90°, in order of rising 2θ:
- d = 7.583 Å, intensity 26.2, (0 0 3)
- d = 3.944 Å, intensity 17.4, (1 0 1)
- d = 3.781 Å, intensity 20.7, (0 1 2)
- d = 3.274 Å, intensity 36.3, (1 0 4)
- d = 2.318 Å, intensity 99.3, (0 1 8)
- d = 2.312 Å, intensity 100.0, (1 1 0)
- d = 1.637 Å, intensity 32.2, (2 0 8)
- d = 1.340 Å, intensity 15.2, (1 0 16)
- d = 1.336 Å, intensity 47.3, (3 0 0)
- d = 1.156 Å, intensity 9.9, (2 2 0)


Structure and calculated powder diffraction line list of Cs3Mg2InI8 (a DFT-relaxed cell (PBE, Alexandria); Cu Kα).

Structure:
abc: 8.8300 8.8300 10.9549
angles: 90.00 90.00 120.00
Space group P-3m1 (No. 164)
Unique sites:
Cs: 0.0000 0.0000 0.0000 [1 per cell]
Cs: 0.3333 0.6667 0.6107 [2 per cell]
Mg: 0.3333 0.6667 0.1955 [2 per cell]
In: 0.0000 0.0000 0.5000 [1 per cell]
I: 0.1695 0.3390 0.3023 [6 per cell]
I: 0.3333 0.6667 0.9517 [2 per cell]

Top 10 peaks for 2θ = 10–90°, in order of rising 2θ:
- d = 4.415 Å, intensity 41.2, (1 1 0)
- d = 3.652 Å, intensity 21.2, (0 0 3)
- d = 3.610 Å, intensity 100.0, (0 2 1)
- d = 3.437 Å, intensity 61.0, (1 1 2)
- d = 3.295 Å, intensity 33.7, (0 1 3)
- d = 3.135 Å, intensity 51.9, (2 0 2)
- d = 2.311 Å, intensity 20.6, (0 3 2)
- d = 2.266 Å, intensity 22.3, (2 1 3)
- d = 2.226 Å, intensity 29.1, (0 2 4)
- d = 2.207 Å, intensity 50.1, (2 2 0)


Structure and calculated powder diffraction line list of KCa2B2O6 (a DFT-relaxed cell (PBE, Alexandria); Cu Kα).

Structure:
abc: 5.9839 6.0031 6.1944
angles: 66.60 66.73 62.12
Space group P-1 (No. 2)
Unique sites:
K: 0.0000 0.0000 0.0000 [1 per cell]
Ca: 0.3221 0.3217 0.3024 [2 per cell]
B: 0.3419 0.3404 0.7470 [2 per cell]
O: 0.1081 0.4848 0.6818 [2 per cell]
O: 0.4260 0.4225 0.8678 [2 per cell]
O: 0.4847 0.1077 0.6814 [2 per cell]

Top 10 peaks for 2θ = 10–90°, in order of rising 2θ:
- d = 5.116 Å, intensity 47.2, (1 0 0)
- d = 4.745 Å, intensity 66.8, (1 1 1)
- d = 4.552 Å, intensity 28.1, (1 1 0)
- d = 3.336 Å, intensity 24.8, (1 0 -1)
- d = 3.092 Å, intensity 49.4, (1 -1 0)
- d = 2.906 Å, intensity 26.5, (1 1 -1)
- d = 2.734 Å, intensity 70.8, (0 1 2)
- d = 2.725 Å, intensity 100.0, (1 2 0)
- d = 1.933 Å, intensity 28.1, (2 1 3)
- d = 1.830 Å, intensity 30.7, (0 0 3)


Structure and calculated powder diffraction line list of Tl5Sn2 (a DFT-relaxed cell (PBE, Alexandria); Cu Kα).

Structure:
abc: 3.4762 3.4762 34.7057
angles: 90.00 90.00 90.00
Space group I4/mmm (No. 139)
Unique sites:
Tl: 0.0000 0.0000 0.0000 [2 per cell]
Tl: 0.0000 0.0000 0.1475 [4 per cell]
Tl: 0.0000 0.0000 0.4267 [4 per cell]
Sn: 0.0000 0.0000 0.2821 [4 per cell]

Top 10 peaks for 2θ = 10–90°, in order of rising 2θ:
- d = 2.846 Å, intensity 100.0, (1 0 7)
- d = 2.479 Å, intensity 16.2, (0 0 14)
- d = 2.458 Å, intensity 34.3, (1 1 0)
- d = 1.745 Å, intensity 22.9, (1 1 14)
- d = 1.738 Å, intensity 12.3, (2 0 0)
- d = 1.493 Å, intensity 12.4, (1 0 21)
- d = 1.483 Å, intensity 28.9, (2 1 7)
- d = 1.423 Å, intensity 11.8, (2 0 14)
- d = 1.132 Å, intensity 10.6, (2 1 21)
- d = 1.128 Å, intensity 6.2, (3 0 7)


Structure and calculated powder diffraction line list of Na2PaRhS4 (a DFT-relaxed cell (PBE, Alexandria); Cu Kα).

Structure:
abc: 6.8757 6.8757 6.5066
angles: 90.00 90.00 90.00
Space group I-42m (No. 121)
Unique sites:
Na: 0.0000 0.5000 0.0000 [4 per cell]
Pa: 0.0000 0.0000 0.0000 [2 per cell]
Rh: 0.0000 0.0000 0.5000 [2 per cell]
S: 0.1957 0.1957 0.2779 [8 per cell]

Top 10 peaks for 2θ = 10–90°, in order of rising 2θ:
- d = 4.862 Å, intensity 100.0, (1 1 0)
- d = 4.726 Å, intensity 24.1, (1 0 1)
- d = 3.438 Å, intensity 36.5, (2 0 0)
- d = 2.780 Å, intensity 24.6, (2 1 1)
- d = 2.704 Å, intensity 38.5, (1 1 2)
- d = 2.431 Å, intensity 41.1, (2 2 0)
- d = 2.363 Å, intensity 81.1, (2 0 2)
- d = 1.947 Å, intensity 19.5, (2 2 2)
- d = 1.808 Å, intensity 32.8, (3 1 2)
- d = 1.390 Å, intensity 21.3, (4 2 2)